The following is a computed powder X-ray diffraction pattern of Ca4PuPa3P8. It was derived from a structure optimized by DFT (GGA-PBE), using Cu Ka.
Peak positions follow from Bragg's law for the DFT cell and can differ from measured ones.

Peak list (10 most intense, 2θ from 10° to 90°, by angle)
13.39 deg, rel. 780
25.66 deg, rel. 480
26.84 deg, rel. 563
31.12 deg, rel. 1000
34.02 deg, rel. 213
40.87 deg, rel. 223
44.51 deg, rel. 371
44.68 deg, rel. 359
46.69 deg, rel. 231
52.79 deg, rel. 286

Structural model:
Lattice parameters (Å, degrees): 8.1419 8.1419 19.8388 90.00 90.00 120.00
Space group R-3m (No. 166, hexagonal axes)
Asymmetric unit:
Ca: 0.0000 0.0000 0.0000 [3 per cell]
Ca: 0.0000 0.5000 0.0000 [9 per cell]
Pu: 0.0000 0.0000 0.5000 [3 per cell]
Pa: 0.0000 0.5000 0.5000 [9 per cell]
P: 0.0000 0.0000 0.2434 [6 per cell]
P: 0.0061 0.5030 0.7570 [18 per cell]